Starting from a GGA+U-relaxed structure, the X-ray diffraction stick pattern of Li2Mn3NbO8 was simulated for Cu Kα (weighted mean of Kα1 and Kα2).
No peak broadening, texture or thermal motion is included.

Main lines, in order of falling intensity (10 to 90 degrees two-theta):
2θ (°)  d [Å]  Rel. int.
17.9  4.952  100
17.7  5.007  60
43.4  2.087  50
59.6  1.552  36
38.8  2.321  36
35.2  2.550  32
32.7  2.736  18
35.5  2.528  17
32.6  2.746  15
35.9  2.505  12

```
data_Li2Mn3NbO8
_symmetry_space_group_name_H-M 'P 1'
_symmetry_Int_Tables_number 1
_symmetry_space_group_name_Hall 'P 1'
_cell_length_a 6.239
_cell_length_b 6.239
_cell_length_c 5.950
_cell_angle_alpha 118.41
_cell_angle_beta 118.41
_cell_angle_gamma 55.96
loop_
_atom_site_label
_atom_site_type_symbol
_atom_site_fract_x
_atom_site_fract_y
_atom_site_fract_z
Li1 Li 0.136 0.136 0.388
Li2 Li 0.864 0.864 0.612
Mn1 Mn 0.000 0.500 0.000
Mn2 Mn 0.500 0.000 0.000
Mn3 Mn 0.500 0.500 0.000
Nb1 Nb 0.500 0.500 0.500
O1 O 0.259 0.259 0.796
O2 O 0.273 0.725 0.751
O3 O 0.275 0.275 0.252
O4 O 0.275 0.727 0.249
O5 O 0.725 0.273 0.751
O6 O 0.725 0.725 0.748
O7 O 0.727 0.275 0.249
O8 O 0.741 0.741 0.204
```